The following is a computed powder diffractogram of BaLa2TiCr2O9. It was derived from the PBE+U geometry in the Materials Project, using copper Kα.

```
45
Lattice="2.813 -25.120 0.000 2.813 25.120 0.000 0.000 0.000 3.968" Properties=species:S:1:pos:R:3 pbc="T T T"
Ba 0.000 0.000 0.000
Ba 2.813 2.868 0.000
Ba 2.813 -2.868 0.000
La 2.813 19.422 0.000
La 2.813 13.934 0.000
La 2.813 8.372 0.000
La 2.813 -8.372 0.000
La 2.813 -13.934 0.000
La 2.813 -19.422 0.000
Ti 2.813 22.245 1.984
Ti 2.813 0.000 1.984
Ti 2.813 -22.245 1.984
Cr 2.813 16.705 1.984
Cr 2.813 11.175 1.984
Cr 2.813 5.639 1.984
Cr 2.813 -5.639 1.984
Cr 2.813 -11.175 1.984
Cr 2.813 -16.705 1.984
O 1.406 12.560 1.984
O 1.402 9.793 1.984
O 2.813 22.183 0.000
O 1.406 7.023 1.984
O 1.327 4.297 1.984
O 2.813 16.745 0.000
O 1.408 1.433 1.984
O 2.813 11.195 0.000
O 1.408 -1.433 1.984
O 1.327 -4.297 1.984
O 2.813 5.777 0.000
O 1.406 -7.023 1.984
O 1.402 -9.793 1.984
O 1.406 -12.560 1.984
O 2.813 0.000 0.000
O 4.223 9.793 1.984
O 4.219 7.023 1.984
O 2.813 -5.777 0.000
O 4.299 4.297 1.984
O 4.217 1.433 1.984
O 2.813 -11.195 0.000
O 4.217 -1.433 1.984
O 2.813 -16.745 0.000
O 4.299 -4.297 1.984
O 4.219 -7.023 1.984
O 2.813 -22.183 0.000
O 4.223 -9.793 1.984
```

Peak list (8 most intense, 10° ≤ 2θ ≤ 90°, sorted by position)
| 2theta | I (rel.) |
| --- | --- |
| 22.4 | 26 |
| 31.8 | 25 |
| 31.9 | 100 |
| 32.1 | 24 |
| 45.8 | 50 |
| 56.8 | 29 |
| 57.1 | 18 |
| 66.7 | 19 |